Diffraction record for LiTi4O6. The powder XRD pattern is theoretical, not measured: it uses a cell relaxed with GGA-PBE and λ = 1.5418 Å (Cu Kα).
Kinematic intensities with the Lorentz-polarization factor, no thermal factor.

Cell: 5.165 2.913 8.061 Å, 90.00 108.67 90.00°
Fractional coordinates of all 11 atoms:
Li 0.000 0.000 0.000
Ti 0.234 0.000 0.404
Ti 0.490 0.000 0.748
Ti 0.547 0.500 0.085
Ti 0.808 0.500 0.433
O 0.225 0.500 0.592
O 0.319 0.000 0.939
O 0.357 0.500 0.262
O 0.664 0.000 0.561
O 0.741 0.500 0.903
O 0.818 0.000 0.239

The 8 most intense peaks (2θ from 10° to 80°), by intensity:
2theta	I (rel.)
18.1	1000
46.5	650
35.9	614
11.6	450
50.3	370
55.5	361
34.1	292
63.0	292

Diffraction record for LiTi8O13. The powder XRD pattern is theoretical, not measured: it uses a cell relaxed with GGA-PBE and λ = 1.5418 Å (Cu Kα).
Kinematic intensities with the Lorentz-polarization factor, no thermal factor.

Cell: 6.483 6.483 6.483 Å, 73.75 73.75 73.75°
Fractional coordinates of all 22 atoms:
Li 0.000 0.000 0.000
Ti 0.184 0.449 0.625
Ti 0.228 0.228 0.228
Ti 0.375 0.816 0.551
Ti 0.449 0.625 0.184
Ti 0.551 0.375 0.816
Ti 0.625 0.184 0.449
Ti 0.772 0.772 0.772
Ti 0.816 0.551 0.375
O 0.079 0.768 0.677
O 0.143 0.547 0.295
O 0.232 0.323 0.921
O 0.295 0.143 0.547
O 0.323 0.921 0.232
O 0.453 0.705 0.857
O 0.500 0.500 0.500
O 0.547 0.295 0.143
O 0.677 0.079 0.768
O 0.705 0.857 0.453
O 0.768 0.677 0.079
O 0.857 0.453 0.705
O 0.921 0.232 0.323

The 8 most intense peaks (2θ from 10° to 80°), by intensity:
2theta	I (rel.)
43.9	1000
14.6	888
29.9	512
63.2	278
64.5	251
27.2	205
37.6	132
34.6	125

Diffraction record for Li2Ti2O5. The powder XRD pattern is theoretical, not measured: it uses a cell relaxed with GGA-PBE and λ = 1.5418 Å (Cu Kα).
Kinematic intensities with the Lorentz-polarization factor, no thermal factor.

Cell: 8.523 5.346 11.788 Å, 90.00 111.06 90.00°
Fractional coordinates of all 36 atoms:
Li 0.098 0.171 0.312
Li 0.098 0.329 0.812
Li 0.099 0.679 0.981
Li 0.099 0.821 0.481
Li 0.901 0.179 0.519
Li 0.901 0.321 0.019
Li 0.902 0.671 0.188
Li 0.902 0.829 0.688
Ti 0.288 0.183 0.112
Ti 0.288 0.317 0.612
Ti 0.289 0.681 0.278
Ti 0.289 0.819 0.778
Ti 0.711 0.181 0.222
Ti 0.711 0.319 0.722
Ti 0.712 0.683 0.388
Ti 0.712 0.817 0.888
O 0.122 0.201 0.485
O 0.122 0.299 0.985
O 0.122 0.716 0.821
O 0.122 0.784 0.321
O 0.262 0.660 0.630
O 0.262 0.840 0.130
O 0.263 0.163 0.747
O 0.263 0.337 0.247
O 0.500 0.249 0.612
O 0.500 0.251 0.112
O 0.500 0.749 0.888
O 0.500 0.751 0.388
O 0.737 0.663 0.753
O 0.737 0.837 0.253
O 0.738 0.160 0.870
O 0.738 0.340 0.370
O 0.878 0.216 0.679
O 0.878 0.284 0.179
O 0.878 0.701 0.015
O 0.878 0.799 0.515

The 8 most intense peaks (2θ from 10° to 80°), by intensity:
2theta	I (rel.)
22.4	1000
23.1	966
23.2	892
33.5	585
16.0	524
16.1	485
28.3	361
31.8	359